Record 1
Calculated X-ray diffraction stick pattern of Hf2V3Ge4 for Cu Kα, 1.54184 Å, from a cell relaxed with PBE.
Peak positions follow from Bragg's law for the DFT cell and can differ from measured ones.

Main lines, in order of falling intensity (2θ from 10° to 90°):
- 2θ 35.38, I 100
- 2θ 42.74, I 79
- 2θ 38.04, I 75
- 2θ 38.59, I 73
- 2θ 38.31, I 46
- 2θ 42.97, I 45
- 2θ 19.22, I 45
- 2θ 31.16, I 31
- 2θ 42.81, I 27
- 2θ 58.02, I 23

Structural model:
a = 6.742 Å, b = 6.744 Å, c = 6.647 Å
α = 90.00°, β = 109.94°, γ = 90.00°
Atoms (fractional coordinates):
Hf 0.187 0.171 0.052
Hf 0.187 0.329 0.552
Hf 0.813 0.671 0.448
Hf 0.813 0.829 0.948
V 0.250 0.665 0.246
V 0.250 0.835 0.746
V 0.500 0.000 0.500
V 0.500 0.500 0.000
V 0.750 0.165 0.254
V 0.750 0.335 0.754
Ge 0.085 0.543 0.851
Ge 0.085 0.957 0.351
Ge 0.499 0.135 0.863
Ge 0.499 0.365 0.363
Ge 0.501 0.635 0.637
Ge 0.501 0.865 0.137
Ge 0.915 0.043 0.649
Ge 0.915 0.457 0.149

Record 2
Calculated X-ray diffraction stick pattern of CsTiAgTe2 for Cu Kα, 1.54184 Å, from a cell relaxed with PBE.
Peak positions follow from Bragg's law for the DFT cell and can differ from measured ones.

Main lines, in order of falling intensity (2θ from 10° to 90°):
- 2θ 25.48, I 100
- 2θ 27.85, I 41
- 2θ 47.87, I 27
- 2θ 33.60, I 22
- 2θ 38.24, I 21
- 2θ 29.98, I 20
- 2θ 52.77, I 19
- 2θ 43.87, I 16
- 2θ 43.39, I 15
- 2θ 25.69, I 12

Structural model:
a = 8.855 Å, b = 8.855 Å, c = 6.392 Å
α = 90.00°, β = 90.00°, γ = 137.57°
Atoms (fractional coordinates):
Cs 0.250 0.750 0.781
Cs 0.750 0.250 0.219
Ti 0.250 0.250 0.500
Ti 0.750 0.750 0.500
Ag 0.000 0.000 0.000
Ag 0.500 0.500 0.000
Te 0.113 0.887 0.298
Te 0.387 0.613 0.298
Te 0.613 0.387 0.702
Te 0.887 0.113 0.702

Record 3
Calculated X-ray diffraction stick pattern of N for Cu Kα, 1.54184 Å, from a cell relaxed with PBE.
Peak positions follow from Bragg's law for the DFT cell and can differ from measured ones.

Main lines, in order of falling intensity (2θ from 10° to 90°):
- 2θ 26.52, I 100
- 2θ 30.72, I 40
- 2θ 44.00, I 13
- 2θ 52.11, I 8
- 2θ 59.41, I 6
- 2θ 37.86, I 6
- 2θ 34.45, I 4
- 2θ 57.04, I 4
- 2θ 84.95, I 4
- 2θ 66.19, I 3

Structural model:
a = 5.821 Å, b = 5.821 Å, c = 5.821 Å
α = 90.00°, β = 90.00°, γ = 90.00°
Atoms (fractional coordinates):
N 0.053 0.447 0.553
N 0.057 0.057 0.057
N 0.443 0.943 0.557
N 0.447 0.553 0.053
N 0.553 0.053 0.447
N 0.557 0.443 0.943
N 0.943 0.557 0.443
N 0.947 0.947 0.947

Record 4
Calculated X-ray diffraction stick pattern of ErSc2GaAu4 for Cu Kα, 1.54184 Å, from a cell relaxed with PBE.
Peak positions follow from Bragg's law for the DFT cell and can differ from measured ones.

Main lines, in order of falling intensity (2θ from 10° to 90°):
- 2θ 37.81, I 100
- 2θ 36.64, I 99
- 2θ 26.09, I 42
- 2θ 53.67, I 34
- 2θ 67.51, I 34
- 2θ 68.28, I 18
- 2θ 65.19, I 14
- 2θ 22.78, I 13
- 2θ 43.06, I 12
- 2θ 80.79, I 11

Structural model:
a = 8.590 Å, b = 8.590 Å, c = 8.590 Å
α = 32.16°, β = 32.16°, γ = 32.16°
Atoms (fractional coordinates):
Er 0.000 0.000 0.000
Sc 0.242 0.242 0.242
Sc 0.758 0.758 0.758
Ga 0.500 0.500 0.500
Au 0.121 0.121 0.121
Au 0.384 0.384 0.384
Au 0.616 0.616 0.616
Au 0.879 0.879 0.879

Record 5
Calculated X-ray diffraction stick pattern of ZnCu3H6Cl2O6 for Cu Kα, 1.54184 Å, from a cell relaxed with PBE.
Peak positions follow from Bragg's law for the DFT cell and can differ from measured ones.

Main lines, in order of falling intensity (2θ from 10° to 90°):
- 2θ 32.11, I 100
- 2θ 15.93, I 82
- 2θ 39.54, I 48
- 2θ 52.11, I 29
- 2θ 49.14, I 27
- 2θ 30.10, I 23
- 2θ 67.12, I 19
- 2θ 39.23, I 13
- 2θ 19.33, I 12
- 2θ 74.43, I 11

Structural model:
a = 6.126 Å, b = 6.126 Å, c = 6.126 Å
α = 69.93°, β = 69.93°, γ = 69.93°
Atoms (fractional coordinates):
Zn 0.000 0.000 0.000
Cu 0.000 0.000 0.500
Cu 0.000 0.500 0.000
Cu 0.500 0.000 0.000
H 0.279 0.279 0.681
H 0.279 0.681 0.279
H 0.319 0.721 0.721
H 0.681 0.279 0.279
H 0.721 0.319 0.721
H 0.721 0.721 0.319
Cl 0.324 0.324 0.324
Cl 0.676 0.676 0.676
O 0.140 0.766 0.766
O 0.234 0.234 0.860
O 0.234 0.860 0.234
O 0.766 0.140 0.766
O 0.766 0.766 0.140
O 0.860 0.234 0.234

Record 6
Calculated X-ray diffraction stick pattern of KIn2Cu for Cu Kα, 1.54184 Å, from a cell relaxed with PBE.
Peak positions follow from Bragg's law for the DFT cell and can differ from measured ones.

Main lines, in order of falling intensity (2θ from 10° to 90°):
- 2θ 32.85, I 100
- 2θ 18.91, I 51
- 2θ 30.61, I 48
- 2θ 48.19, I 30
- 2θ 36.30, I 30
- 2θ 37.55, I 29
- 2θ 55.85, I 21
- 2θ 21.20, I 15
- 2θ 53.22, I 15
- 2θ 38.82, I 15

Structural model:
a = 5.493 Å, b = 5.493 Å, c = 5.493 Å
α = 126.44°, β = 115.76°, γ = 88.35°
Atoms (fractional coordinates):
K 0.000 0.000 0.000
In 0.292 0.792 0.500
In 0.546 0.546 0.000
Cu 0.658 0.158 0.500

Record 7
Calculated X-ray diffraction stick pattern of BaNa12 for Cu Kα, 1.54184 Å, from a cell relaxed with PBE.
Peak positions follow from Bragg's law for the DFT cell and can differ from measured ones.

Main lines, in order of falling intensity (2θ from 10° to 90°):
- 2θ 29.29, I 100
- 2θ 30.03, I 60
- 2θ 20.77, I 59
- 2θ 25.37, I 55
- 2θ 10.17, I 44
- 2θ 29.04, I 44
- 2θ 14.89, I 34
- 2θ 22.86, I 26
- 2θ 48.20, I 24
- 2θ 51.63, I 21

Structural model:
a = 9.339 Å, b = 9.339 Å, c = 9.339 Å
α = 97.62°, β = 97.62°, γ = 137.30°
Atoms (fractional coordinates):
Ba 0.000 0.000 0.000
Na 0.000 0.000 0.500
Na 0.000 0.354 0.354
Na 0.000 0.500 0.000
Na 0.000 0.646 0.646
Na 0.288 0.500 0.788
Na 0.354 0.000 0.354
Na 0.500 0.000 0.000
Na 0.500 0.288 0.788
Na 0.500 0.500 0.500
Na 0.500 0.712 0.212
Na 0.646 0.000 0.646
Na 0.712 0.500 0.212

Record 8
Calculated X-ray diffraction stick pattern of La2CeY3 for Cu Kα, 1.54184 Å, from a cell relaxed with PBE.
Peak positions follow from Bragg's law for the DFT cell and can differ from measured ones.

Main lines, in order of falling intensity (2θ from 10° to 90°):
- 2θ 30.18, I 100
- 2θ 36.65, I 65
- 2θ 33.61, I 56
- 2θ 27.71, I 39
- 2θ 32.60, I 31
- 2θ 61.60, I 23
- 2θ 63.37, I 18
- 2θ 53.67, I 16
- 2θ 53.70, I 16
- 2θ 52.03, I 16

Structural model:
a = 9.122 Å, b = 9.122 Å, c = 7.032 Å
α = 101.09°, β = 101.09°, γ = 45.09°
Atoms (fractional coordinates):
La 0.140 0.145 0.070
La 0.145 0.140 0.570
La 0.855 0.860 0.430
La 0.860 0.855 0.930
Ce 0.248 0.752 0.250
Ce 0.752 0.248 0.750
Y 0.284 0.716 0.750
Y 0.334 0.337 0.417
Y 0.337 0.334 0.917
Y 0.663 0.666 0.083
Y 0.666 0.663 0.583
Y 0.716 0.284 0.250